Entry 1:
Starting from a cell relaxed with PBE, the XRD peak list of Sc2PaAs3 was calculated for CuKα.

Largest 8 diffraction maxima, most intense first, 10 to 80 degrees two-theta:
32.0°, I 100.0
45.7°, I 92.3
31.8°, I 51.3
17.4°, I 41.5
15.0°, I 27.7
31.4°, I 25.9
23.6°, I 23.9
57.1°, I 19.9

Crystal structure
abc: 6.8340 6.8340 6.8340
angles: 146.18 131.30 60.60
Element x y z (fractional)
Sc (0.1651, 0.1651, 0.0000)
Sc (0.8349, 0.8349, 0.0000)
Pa (0.5000, 0.5000, 0.0000)
As (0.0000, 0.5000, 0.5000)
As (0.3265, 0.8265, 0.5000)
As (0.6735, 0.1735, 0.5000)

=====

Entry 2:
Starting from a cell relaxed with PBE, the XRD peak list of Sc2PaAs4 was calculated for CuKα.

Largest 8 diffraction maxima, most intense first, 10 to 80 degrees two-theta:
31.5°, I 100.0
15.5°, I 47.6
34.0°, I 41.9
44.3°, I 35.9
44.0°, I 34.9
32.3°, I 34.8
25.8°, I 32.7
14.5°, I 30.7

Crystal structure
abc: 6.7718 6.7718 12.2451
angles: 90.00 90.00 145.87
Element x y z (fractional)
Sc (0.1315, 0.8685, 0.5566)
Sc (0.1315, 0.8685, 0.9434)
Sc (0.8685, 0.1315, 0.0566)
Sc (0.8685, 0.1315, 0.4434)
Pa (0.3921, 0.6079, 0.7500)
Pa (0.6079, 0.3921, 0.2500)
As (0.0428, 0.9572, 0.7500)
As (0.2370, 0.7630, 0.1364)
As (0.2370, 0.7630, 0.3636)
As (0.5000, 0.5000, 0.0000)
As (0.5000, 0.5000, 0.5000)
As (0.7630, 0.2370, 0.6364)
As (0.7630, 0.2370, 0.8636)
As (0.9572, 0.0428, 0.2500)

=====

Entry 3:
Starting from a cell relaxed with PBE, the XRD peak list of Pa2AsSe was calculated for CuKα.

Largest 8 diffraction maxima, most intense first, 10 to 80 degrees two-theta:
31.0°, I 100.0
43.3°, I 27.2
45.7°, I 23.4
27.1°, I 21.4
43.6°, I 13.3
55.9°, I 12.9
64.7°, I 12.6
71.8°, I 12.4

Crystal structure
abc: 9.0229 9.0229 6.8682
angles: 104.54 104.54 125.07
Element x y z (fractional)
Pa (0.0622, 0.4374, 0.7496)
Pa (0.1864, 0.3113, 0.2490)
Pa (0.3113, 0.1864, 0.7490)
Pa (0.4374, 0.0622, 0.2496)
Pa (0.5626, 0.9378, 0.7504)
Pa (0.6887, 0.8136, 0.2510)
Pa (0.8136, 0.6887, 0.7510)
Pa (0.9378, 0.5626, 0.2504)
As (0.0630, 0.9370, 0.2500)
As (0.3124, 0.6876, 0.2500)
As (0.6876, 0.3124, 0.7500)
As (0.9370, 0.0630, 0.7500)
Se (0.1870, 0.8130, 0.7500)
Se (0.4379, 0.5621, 0.7500)
Se (0.5621, 0.4379, 0.2500)
Se (0.8130, 0.1870, 0.2500)

=====

Entry 4:
Starting from a cell relaxed with PBE, the XRD peak list of PaAsSe4 was calculated for CuKα.

Largest 8 diffraction maxima, most intense first, 10 to 80 degrees two-theta:
13.9°, I 100.0
31.4°, I 99.6
45.5°, I 70.9
32.0°, I 48.1
25.3°, I 43.6
13.1°, I 23.8
42.9°, I 19.9
26.6°, I 19.6

Crystal structure
abc: 7.9985 7.9985 7.9985
angles: 122.24 116.35 91.30
Element x y z (fractional)
Pa (0.0000, 0.0000, 0.0000)
Pa (0.5000, 0.0000, 0.5000)
As (0.5000, 0.0000, 0.0000)
As (0.5000, 0.5000, 0.5000)
Se (0.2552, 0.2467, 0.4916)
Se (0.2552, 0.7636, 0.0084)
Se (0.2683, 0.2459, 0.0223)
Se (0.2764, 0.7541, 0.5224)
Se (0.7236, 0.2459, 0.4776)
Se (0.7317, 0.7541, 0.9776)
Se (0.7448, 0.2364, 0.9916)
Se (0.7448, 0.7533, 0.5084)

=====

Entry 5:
Starting from a cell relaxed with PBE, the XRD peak list of Pa3As2Se3 was calculated for CuKα.

Largest 8 diffraction maxima, most intense first, 10 to 80 degrees two-theta:
35.4°, I 100.0
35.9°, I 91.6
25.8°, I 90.1
37.7°, I 83.8
46.5°, I 46.3
31.3°, I 42.4
20.5°, I 37.8
48.4°, I 29.0

Crystal structure
abc: 8.6566 8.6566 5.7105
angles: 90.00 90.00 120.00
Element x y z (fractional)
Pa (0.0000, 0.3817, 0.2500)
Pa (0.0000, 0.6183, 0.7500)
Pa (0.3817, 0.0000, 0.2500)
Pa (0.3817, 0.3817, 0.7500)
Pa (0.6183, 0.0000, 0.7500)
Pa (0.6183, 0.6183, 0.2500)
As (0.3333, 0.6667, 0.0000)
As (0.3333, 0.6667, 0.5000)
As (0.6667, 0.3333, 0.0000)
As (0.6667, 0.3333, 0.5000)
Se (0.0000, 0.2623, 0.7500)
Se (0.0000, 0.7377, 0.2500)
Se (0.2623, 0.0000, 0.7500)
Se (0.2623, 0.2623, 0.2500)
Se (0.7377, 0.0000, 0.2500)
Se (0.7377, 0.7377, 0.7500)

=====

Entry 6:
Starting from a cell relaxed with PBE, the XRD peak list of Pa4As5Se was calculated for CuKα.

Largest 8 diffraction maxima, most intense first, 10 to 80 degrees two-theta:
36.5°, I 100.0
36.9°, I 98.3
38.4°, I 51.2
36.0°, I 36.1
23.6°, I 34.9
23.5°, I 33.9
19.9°, I 26.6
46.7°, I 25.7

Crystal structure
abc: 7.8459 7.8459 7.0202
angles: 90.85 90.85 34.74
Element x y z (fractional)
Pa (0.0108, 0.0108, 0.2518)
Pa (0.3033, 0.3033, 0.2523)
Pa (0.6967, 0.6967, 0.7477)
Pa (0.9892, 0.9892, 0.7482)
As (0.1598, 0.1598, 0.9847)
As (0.1612, 0.1612, 0.5145)
As (0.5000, 0.5000, 0.5000)
As (0.8388, 0.8388, 0.4855)
As (0.8402, 0.8402, 0.0153)
Se (0.5000, 0.5000, 0.0000)